For TlH4NCl3, a crystal structure in Alexandria, relaxed with GGA-PBE gives the computed powder diffraction line list in this record (Cu Kα).

Structural model:
a = 7.5268 Å, b = 7.8845 Å, c = 12.9591 Å
α = 97.91°, β = 90.16°, γ = 92.75°
Fractional coordinates of all 36 atoms:
1 Tl 0.0000 0.0000 0.0000
2 Tl 0.0027 0.4981 0.9914
3 Tl 0.5180 0.6129 0.4896
4 Tl 0.5378 0.1153 0.4874
5 H 0.0084 0.1355 0.7360
6 H 0.0278 0.5603 0.3133
7 H 0.0744 0.7416 0.2590
8 H 0.0796 0.7426 0.3908
9 H 0.1585 0.0199 0.6603
10 H 0.1824 0.2380 0.6791
11 H 0.2145 0.1294 0.7798
12 H 0.3844 0.7928 0.8370
13 H 0.4466 0.1878 0.0985
14 H 0.4508 0.2437 0.2304
15 H 0.4671 0.0369 0.1750
16 H 0.5015 0.6281 0.7854
17 H 0.5773 0.8243 0.7705
18 H 0.5853 0.7647 0.8924
19 H 0.6407 0.1809 0.1660
20 H 0.8804 0.7176 0.3249
21 N 0.0151 0.6909 0.3212
22 N 0.1401 0.1306 0.7122
23 N 0.5025 0.1629 0.1681
24 N 0.5130 0.7535 0.8228
25 Cl 0.0856 0.7799 0.8394
26 Cl 0.2019 0.8399 0.1215
27 Cl 0.2397 0.8175 0.5303
28 Cl 0.2882 0.1951 0.9532
29 Cl 0.3172 0.3906 0.3643
30 Cl 0.4111 0.4364 0.6482
31 Cl 0.6008 0.7803 0.3299
32 Cl 0.7009 0.8494 0.6158
33 Cl 0.7267 0.7998 0.0405
34 Cl 0.7910 0.4274 0.4591
35 Cl 0.8091 0.1579 0.8732
36 Cl 0.9293 0.2336 0.1568

Principal peaks in the range 2θ from 15° to 90°, in order of falling intensity:
2θ 34.0, d 2.640, rel. 100; 2θ 36.6, d 2.454, rel. 83; 2θ 24.0, d 3.703, rel. 74; 2θ 23.8, d 3.734, rel. 73; 2θ 23.7, d 3.759, rel. 71; 2θ 26.3, d 3.392, rel. 66; 2θ 41.9, d 2.154, rel. 59; 2θ 27.4, d 3.255, rel. 53; 2θ 36.4, d 2.466, rel. 51; 2θ 28.2, d 3.169, rel. 50

For TlH4NCl4, a crystal structure in Alexandria, relaxed with GGA-PBE gives the computed powder diffraction line list in this record (Cu Kα).

Structural model:
a = 9.8951 Å, b = 9.8951 Å, c = 9.8951 Å
α = 138.62°, β = 138.62°, γ = 59.96°
Fractional coordinates of all 20 atoms:
1 Tl 0.3750 0.1250 0.2500
2 Tl 0.6250 0.8750 0.7500
3 H 0.0090 0.4316 0.7591
4 H 0.0684 0.3275 0.5774
5 H 0.1725 0.2499 0.7409
6 H 0.2501 0.4910 0.9226
7 H 0.7499 0.5090 0.0774
8 H 0.8275 0.7501 0.2591
9 H 0.9316 0.6725 0.4226
10 H 0.9910 0.5684 0.2409
11 N 0.1250 0.3750 0.7500
12 N 0.8750 0.6250 0.2500
13 Cl 0.1369 0.7959 0.8483
14 Cl 0.2114 0.3631 0.1590
15 Cl 0.2959 0.9476 0.6590
16 Cl 0.4476 0.2886 0.6517
17 Cl 0.5524 0.7114 0.3483
18 Cl 0.7041 0.0524 0.3410
19 Cl 0.7886 0.6369 0.8410
20 Cl 0.8631 0.2041 0.1517

Principal peaks in the range 2θ from 15° to 90°, in order of falling intensity:
2θ 20.7, d 4.283, rel. 100; 2θ 20.1, d 4.425, rel. 48; 2θ 33.1, d 2.709, rel. 40; 2θ 42.2, d 2.141, rel. 39; 2θ 36.3, d 2.473, rel. 36; 2θ 29.0, d 3.077, rel. 36; 2θ 47.1, d 1.928, rel. 33; 2θ 39.0, d 2.310, rel. 29; 2θ 56.9, d 1.619, rel. 21; 2θ 52.3, d 1.749, rel. 21

For ZnH8N4Cl2, a crystal structure in Alexandria, relaxed with GGA-PBE gives the computed powder diffraction line list in this record (Cu Kα).

Structural model:
a = 6.1074 Å, b = 6.1074 Å, c = 4.1727 Å
α = 99.44°, β = 99.44°, γ = 84.57°
Fractional coordinates of all 15 atoms:
1 Zn 0.0000 0.0000 0.0000
2 H 0.0014 0.3110 0.5282
3 H 0.2416 0.6428 0.7079
4 H 0.3110 0.0014 0.5282
5 H 0.3572 0.7584 0.2921
6 H 0.6428 0.2416 0.7079
7 H 0.6889 0.9986 0.4718
8 H 0.7584 0.3572 0.2921
9 H 0.9986 0.6889 0.4718
10 N 0.1343 0.7640 0.6113
11 N 0.2360 0.8657 0.3887
12 N 0.7640 0.1343 0.6113
13 N 0.8657 0.2360 0.3887
14 Cl 0.2826 0.2826 0.9839
15 Cl 0.7174 0.7174 0.0161

Principal peaks in the range 2θ from 15° to 90°, in order of falling intensity:
2θ 30.9, d 2.891, rel. 100; 2θ 32.4, d 2.766, rel. 42; 2θ 21.6, d 4.109, rel. 37; 2θ 35.2, d 2.548, rel. 33; 2θ 21.8, d 4.069, rel. 32; 2θ 49.7, d 1.833, rel. 26; 2θ 42.3, d 2.137, rel. 16; 2θ 50.0, d 1.823, rel. 14; 2θ 42.1, d 2.147, rel. 14; 2θ 20.2, d 4.406, rel. 13

For Zr2HN2Cl2, a crystal structure in Alexandria, relaxed with GGA-PBE gives the computed powder diffraction line list in this record (Cu Kα).

Structural model:
a = 9.9298 Å, b = 9.9298 Å, c = 9.9298 Å
α = 22.07°, β = 22.07°, γ = 22.07°
Fractional coordinates of all 7 atoms:
1 Zr 0.0000 0.0000 0.0000
2 Zr 0.2494 0.2494 0.2494
3 H 0.8867 0.8867 0.8867
4 N 0.3212 0.3212 0.3212
5 N 0.9225 0.9225 0.9225
6 Cl 0.5178 0.5178 0.5178
7 Cl 0.7270 0.7270 0.7270

Principal peaks in the range 2θ from 15° to 90°, in order of falling intensity:
2θ 29.8, d 2.998, rel. 100; 2θ 36.9, d 2.439, rel. 39; 2θ 47.9, d 1.900, rel. 35; 2θ 62.1, d 1.495, rel. 17; 2θ 34.8, d 2.579, rel. 15; 2θ 44.0, d 2.060, rel. 15; 2θ 27.3, d 3.270, rel. 15; 2θ 57.4, d 1.605, rel. 14; 2θ 37.1, d 2.421, rel. 14; 2θ 48.8, d 1.865, rel. 13

For Na3H2Cl, a crystal structure in Alexandria, relaxed with GGA-PBE gives the computed powder diffraction line list in this record (Cu Kα).

Structural model:
a = 6.8834 Å, b = 6.8834 Å, c = 6.8834 Å
α = 126.74°, β = 87.89°, γ = 116.01°
Fractional coordinates of all 12 atoms:
1 Na 0.0000 0.2446 0.2446
2 Na 0.0000 0.7554 0.7554
3 Na 0.5000 0.0000 0.0000
4 Na 0.5000 0.2446 0.7446
5 Na 0.5000 0.5000 0.5000
6 Na 0.5000 0.7554 0.2554
7 H 0.2739 0.6973 0.5766
8 H 0.3793 0.3027 0.0766
9 H 0.6207 0.6973 0.9234
10 H 0.7261 0.3027 0.4234
11 Cl 0.1755 0.9255 0.2500
12 Cl 0.8245 0.0745 0.7500

Principal peaks in the range 2θ from 15° to 90°, in order of falling intensity:
2θ 42.5, d 2.127, rel. 100; 2θ 18.8, d 4.711, rel. 57; 2θ 36.3, d 2.478, rel. 52; 2θ 26.1, d 3.414, rel. 44; 2θ 30.4, d 2.937, rel. 37; 2θ 32.8, d 2.731, rel. 37; 2θ 34.2, d 2.619, rel. 36; 2θ 29.9, d 2.993, rel. 28; 2θ 38.1, d 2.361, rel. 28; 2θ 24.4, d 3.647, rel. 25

For Na4H3Cl4, a crystal structure in Alexandria, relaxed with GGA-PBE gives the computed powder diffraction line list in this record (Cu Kα).

Structural model:
a = 11.1904 Å, b = 4.9002 Å, c = 4.9002 Å
α = 60.32°, β = 90.00°, γ = 90.00°
Fractional coordinates of all 11 atoms:
1 Na 0.0000 0.0000 0.0000
2 Na 0.2499 0.6662 0.6662
3 Na 0.5000 0.0005 0.0005
4 Na 0.7501 0.6662 0.6662
5 H 0.0000 0.3314 0.3314
6 H 0.0833 0.3311 0.3311
7 H 0.9167 0.3311 0.3311
8 Cl 0.0000 0.6658 0.6658
9 Cl 0.2506 0.0006 0.0006
10 Cl 0.5000 0.6661 0.6661
11 Cl 0.7494 0.0006 0.0006

Principal peaks in the range 2θ from 15° to 90°, in order of falling intensity:
2θ 20.9, d 4.257, rel. 100; 2θ 36.7, d 2.450, rel. 96; 2θ 49.4, d 1.843, rel. 71; 2θ 32.0, d 2.798, rel. 70; 2θ 38.5, d 2.337, rel. 60; 2θ 21.0, d 4.237, rel. 51; 2θ 36.5, d 2.462, rel. 49; 2θ 49.3, d 1.848, rel. 36; 2θ 26.3, d 3.385, rel. 22; 2θ 75.1, d 1.266, rel. 18

For Na4H3Cl, a crystal structure in Alexandria, relaxed with GGA-PBE gives the computed powder diffraction line list in this record (Cu Kα).

Structural model:
a = 11.9006 Å, b = 11.9006 Å, c = 11.9006 Å
α = 17.39°, β = 17.39°, γ = 17.39°
Fractional coordinates of all 8 atoms:
1 Na 0.1163 0.1163 0.1163
2 Na 0.3719 0.3719 0.3719
3 Na 0.6281 0.6281 0.6281
4 Na 0.8837 0.8837 0.8837
5 H 0.0000 0.0000 0.0000
6 H 0.2561 0.2561 0.2561
7 H 0.7439 0.7439 0.7439
8 Cl 0.5000 0.5000 0.5000

Principal peaks in the range 2θ from 15° to 90°, in order of falling intensity:
2θ 35.3, d 2.542, rel. 100; 2θ 50.7, d 1.799, rel. 34; 2θ 30.4, d 2.936, rel. 33; 2θ 50.8, d 1.796, rel. 25; 2θ 33.9, d 2.648, rel. 18; 2θ 31.4, d 2.849, rel. 17; 2θ 63.3, d 1.469, rel. 15; 2θ 29.1, d 3.068, rel. 14; 2θ 85.3, d 1.138, rel. 11; 2θ 15.1, d 5.859, rel. 11

For Na2ZnH3Cl4, a crystal structure in Alexandria, relaxed with GGA-PBE gives the computed powder diffraction line list in this record (Cu Kα).

Structural model:
a = 7.0275 Å, b = 7.0275 Å, c = 6.1827 Å
α = 90.00°, β = 90.00°, γ = 120.00°
Fractional coordinates of all 10 atoms:
1 Na 0.3333 0.6667 0.0000
2 Na 0.6667 0.3333 0.0000
3 Zn 0.0000 0.0000 0.9237
4 H 0.0000 0.6695 0.2292
5 H 0.3305 0.3305 0.2292
6 H 0.6695 0.0000 0.2292
7 Cl 0.0000 0.0000 0.2949
8 Cl 0.0000 0.3114 0.8111
9 Cl 0.3114 0.0000 0.8111
10 Cl 0.6886 0.6886 0.8111

Principal peaks in the range 2θ from 15° to 90°, in order of falling intensity:
2θ 29.2, d 3.055, rel. 100; 2θ 25.3, d 3.514, rel. 71; 2θ 44.7, d 2.029, rel. 53; 2θ 38.8, d 2.321, rel. 48; 2θ 51.4, d 1.778, rel. 38; 2θ 47.2, d 1.928, rel. 37; 2θ 32.5, d 2.756, rel. 30; 2θ 54.3, d 1.689, rel. 23; 2θ 28.9, d 3.091, rel. 22; 2θ 54.1, d 1.696, rel. 18

For NbH3Cl6, a crystal structure in Alexandria, relaxed with GGA-PBE gives the computed powder diffraction line list in this record (Cu Kα).

Structural model:
a = 8.1672 Å, b = 8.1672 Å, c = 8.1672 Å
α = 90.44°, β = 90.44°, γ = 90.44°
Fractional coordinates of all 20 atoms:
1 Nb 0.0000 0.0000 0.0000
2 Nb 0.5000 0.5000 0.5000
3 H 0.0462 0.2265 0.2265
4 H 0.2265 0.0462 0.2265
5 H 0.2265 0.2265 0.0462
6 H 0.7735 0.7735 0.9538
7 H 0.7735 0.9538 0.7735
8 H 0.9538 0.7735 0.7735
9 Cl 0.0555 0.0555 0.3152
10 Cl 0.0555 0.3152 0.0555
11 Cl 0.3030 0.3030 0.5983
12 Cl 0.3030 0.5983 0.3030
13 Cl 0.3152 0.0555 0.0555
14 Cl 0.4017 0.6970 0.6970
15 Cl 0.5983 0.3030 0.3030
16 Cl 0.6848 0.9445 0.9445
17 Cl 0.6970 0.4017 0.6970
18 Cl 0.6970 0.6970 0.4017
19 Cl 0.9445 0.6848 0.9445
20 Cl 0.9445 0.9445 0.6848

Principal peaks in the range 2θ from 15° to 90°, in order of falling intensity:
2θ 15.3, d 5.797, rel. 100; 2θ 15.4, d 5.753, rel. 45; 2θ 41.4, d 2.181, rel. 36; 2θ 26.7, d 3.338, rel. 21; 2θ 32.9, d 2.722, rel. 19; 2θ 47.0, d 1.932, rel. 16; 2θ 24.3, d 3.663, rel. 13; 2θ 31.1, d 2.876, rel. 13; 2θ 34.8, d 2.577, rel. 12; 2θ 21.8, d 4.083, rel. 12

Q: Which formula does entry 9 have?
A: NbH3Cl6

Q: Which formula does entry 1 have?
A: TlH4NCl3

Q: Number 1 is which compound?
A: TlH4NCl3

Copy entry 2 word for word.
For TlH4NCl4, a crystal structure in Alexandria, relaxed with GGA-PBE gives the computed powder diffraction line list in this record (Cu Kα).

Structural model:
a = 9.8951 Å, b = 9.8951 Å, c = 9.8951 Å
α = 138.62°, β = 138.62°, γ = 59.96°
Fractional coordinates of all 20 atoms:
1 Tl 0.3750 0.1250 0.2500
2 Tl 0.6250 0.8750 0.7500
3 H 0.0090 0.4316 0.7591
4 H 0.0684 0.3275 0.5774
5 H 0.1725 0.2499 0.7409
6 H 0.2501 0.4910 0.9226
7 H 0.7499 0.5090 0.0774
8 H 0.8275 0.7501 0.2591
9 H 0.9316 0.6725 0.4226
10 H 0.9910 0.5684 0.2409
11 N 0.1250 0.3750 0.7500
12 N 0.8750 0.6250 0.2500
13 Cl 0.1369 0.7959 0.8483
14 Cl 0.2114 0.3631 0.1590
15 Cl 0.2959 0.9476 0.6590
16 Cl 0.4476 0.2886 0.6517
17 Cl 0.5524 0.7114 0.3483
18 Cl 0.7041 0.0524 0.3410
19 Cl 0.7886 0.6369 0.8410
20 Cl 0.8631 0.2041 0.1517

Principal peaks in the range 2θ from 15° to 90°, in order of falling intensity:
2θ 20.7, d 4.283, rel. 100; 2θ 20.1, d 4.425, rel. 48; 2θ 33.1, d 2.709, rel. 40; 2θ 42.2, d 2.141, rel. 39; 2θ 36.3, d 2.473, rel. 36; 2θ 29.0, d 3.077, rel. 36; 2θ 47.1, d 1.928, rel. 33; 2θ 39.0, d 2.310, rel. 29; 2θ 56.9, d 1.619, rel. 21; 2θ 52.3, d 1.749, rel. 21